The following is a calculated PXRD pattern of Mn2PO4. It was derived from the GGA+U geometry in Alexandria, using Cu Kα.

Top 12 peaks for 10° ≤ 2θ ≤ 80°, most intense first:
index  2θ (°)  d (Å)  I/Imax
1 2 1  33.62  2.665  100
3 0 1  30.61  2.921  74
2 2 2  48.95  1.861  24
2 2 0  31.70  2.822  20
1 0 2  37.26  2.413  15
2 0 1  24.34  3.657  15
0 4 0  55.63  1.652  13
1 1 1  23.91  3.722  13
3 4 1  64.83  1.438  13
5 2 1  53.82  1.703  13
2 1 1  27.88  3.200  12
4 0 1  37.81  2.379  12

Atomic structure:
```
Mn2PO4
1.0
10.8533 0.0000 0.0000
0.0000 6.6087 0.0000
0.0000 0.0000 4.9501
Mn P O
8 4 16
direct
0.0000 0.0000 0.0000
0.0000 0.5000 0.0000
0.1922 0.2500 0.4191
0.3078 0.7500 0.9191
0.5000 0.0000 0.5000
0.5000 0.5000 0.5000
0.6922 0.2500 0.0809
0.8078 0.7500 0.5809
0.1132 0.7500 0.4239
0.3868 0.2500 0.9239
0.6132 0.7500 0.0761
0.8868 0.2500 0.5761
0.0266 0.2500 0.6698
0.1220 0.7500 0.7377
0.1720 0.5608 0.2883
0.1720 0.9392 0.2883
0.3280 0.0608 0.7883
0.3280 0.4392 0.7883
0.3780 0.2500 0.2377
0.4734 0.7500 0.1698
0.5266 0.2500 0.8302
0.6220 0.7500 0.7623
0.6720 0.5608 0.2117
0.6720 0.9392 0.2117
0.8280 0.0608 0.7117
0.8280 0.4392 0.7117
0.8780 0.2500 0.2623
0.9734 0.7500 0.3302
```